(1)
For PrNdNi8B2, DFT lattice parameters and positions (GGA-PBE) gives the computed X-ray powder pattern in this record (λ = 1.5418 Å (Cu Kα)).
Neutral-atom scattering factors, no anomalous dispersion.

Peak list (6 most intense, 5 to 70 degrees two-theta, low angle first)
2θ 32.67, intensity 82; 2θ 35.29, intensity 29; 2θ 40.98, intensity 77; 2θ 44.00, intensity 100; 2θ 61.69, intensity 26; 2θ 69.39, intensity 28

abc: 5.0864 5.0864 7.0038
angles: 90.00 90.00 120.00
Fractional positions:
1 Pr 0.0000 0.0000 0.0000
2 Nd 0.0000 0.0000 0.5000
3 Ni 0.0000 0.5000 0.2058
4 Ni 0.0000 0.5000 0.7942
5 Ni 0.3333 0.6667 0.5000
6 Ni 0.5000 0.0000 0.2058
7 Ni 0.5000 0.0000 0.7942
8 Ni 0.5000 0.5000 0.2058
9 Ni 0.5000 0.5000 0.7942
10 Ni 0.6667 0.3333 0.5000
11 B 0.3333 0.6667 0.0000
12 B 0.6667 0.3333 0.0000

***

(2)
For NiTe8Mo6, DFT lattice parameters and positions (GGA-PBE) gives the computed X-ray powder pattern in this record (λ = 1.5418 Å (Cu Kα)).
Neutral-atom scattering factors, no anomalous dispersion.

Peak list (6 most intense, 5 to 70 degrees two-theta, low angle first)
2θ 12.49, intensity 79; 2θ 28.69, intensity 59; 2θ 30.16, intensity 70; 2θ 37.28, intensity 71; 2θ 41.99, intensity 50; 2θ 42.17, intensity 100

abc: 7.0989 7.1010 7.1057
angles: 92.39 92.84 92.89
Fractional positions:
1 Ni 0.0000 0.0000 0.0000
2 Te 0.1204 0.3677 0.7455
3 Te 0.2101 0.2101 0.2116
4 Te 0.2537 0.8786 0.6282
5 Te 0.3698 0.7454 0.1188
6 Te 0.6302 0.2546 0.8812
7 Te 0.7463 0.1214 0.3718
8 Te 0.7899 0.7899 0.7884
9 Te 0.8796 0.6323 0.2545
10 Mo 0.2397 0.5453 0.4192
11 Mo 0.4202 0.2395 0.5466
12 Mo 0.4540 0.5798 0.7597
13 Mo 0.5460 0.4202 0.2403
14 Mo 0.5798 0.7605 0.4534
15 Mo 0.7603 0.4547 0.5808

***

(3)
For Cu7Ag3, DFT lattice parameters and positions (GGA-PBE) gives the computed X-ray powder pattern in this record (λ = 1.5418 Å (Cu Kα)).
Neutral-atom scattering factors, no anomalous dispersion.

Peak list (6 most intense, 5 to 70 degrees two-theta, low angle first)
2θ 41.05, intensity 100; 2θ 41.34, intensity 98; 2θ 47.19, intensity 64; 2θ 49.40, intensity 29; 2θ 68.54, intensity 9; 2θ 69.37, intensity 9

abc: 7.1547 7.1547 5.4765
angles: 101.11 101.11 29.88
Fractional positions:
1 Cu 0.0000 0.0000 0.0000
2 Cu 0.0033 0.0033 0.5275
3 Cu 0.1929 0.1929 0.6038
4 Cu 0.4031 0.4031 0.7066
5 Cu 0.5912 0.5912 0.8011
6 Cu 0.5998 0.5998 0.3318
7 Cu 0.7994 0.7994 0.4211
8 Ag 0.1918 0.1918 0.1164
9 Ag 0.4063 0.4063 0.2231
10 Ag 0.7976 0.7976 0.8939